Record 1
Starting from the PBE geometry in Alexandria, the powder XRD pattern of Pm2DyGa4 was calculated for a wavelength of 1.5418 Å.
Kinematic intensities with the Lorentz-polarization factor, no thermal factor.

Principal peaks in the range 2θ from 5° to 70°, by angle:
| two_theta | I/Imax |
| --- | --- |
| 25.7 | 23 |
| 28.7 | 17 |
| 31.3 | 100 |
| 31.7 | 55 |
| 35.6 | 28 |
| 40.1 | 29 |
| 41.9 | 40 |
| 43.3 | 24 |
| 54.6 | 24 |
| 59.4 | 19 |

Structure:
Cell: 9.796 9.796 9.796 Å, 155.35 154.59 35.70°
Sites, in units of the cell vectors:
1 Pm 0.184 0.184 0.000
2 Pm 0.816 0.816 0.000
3 Dy 0.000 0.500 0.500
4 Ga 0.358 0.358 0.000
5 Ga 0.435 0.935 0.500
6 Ga 0.565 0.065 0.500
7 Ga 0.642 0.642 0.000


Record 2
Starting from the PBE geometry in Alexandria, the powder XRD pattern of CdAsH2O4 was calculated for a wavelength of 1.5418 Å.
Kinematic intensities with the Lorentz-polarization factor, no thermal factor.

Principal peaks in the range 2θ from 5° to 70°, by angle:
| two_theta | I/Imax |
| --- | --- |
| 23.9 | 100 |
| 27.7 | 50 |
| 28.8 | 16 |
| 37.7 | 73 |
| 40.4 | 22 |
| 46.7 | 18 |
| 48.9 | 13 |
| 49.6 | 23 |
| 55.8 | 21 |
| 57.7 | 22 |

Structure:
Cell: 5.022 5.022 5.022 Å, 125.92 103.68 100.19°
Sites, in units of the cell vectors:
1 Cd 0.000 0.000 0.000
2 As 0.500 0.000 0.500
3 H 0.306 0.500 0.806
4 H 0.694 0.500 0.194
5 O 0.199 0.172 0.566
6 O 0.394 0.828 0.027
7 O 0.606 0.633 0.434
8 O 0.801 0.367 0.973


Record 3
Starting from the PBE geometry in Alexandria, the powder XRD pattern of Hf3ZrCo2H was calculated for a wavelength of 1.5418 Å.
Kinematic intensities with the Lorentz-polarization factor, no thermal factor.

Principal peaks in the range 2θ from 5° to 70°, by angle:
| two_theta | I/Imax |
| --- | --- |
| 29.6 | 22 |
| 33.1 | 100 |
| 40.9 | 24 |
| 41.2 | 27 |
| 41.8 | 13 |
| 42.8 | 24 |
| 43.2 | 24 |
| 60.7 | 15 |
| 62.5 | 16 |
| 65.6 | 13 |

Structure:
Cell: 7.137 7.137 7.137 Å, 145.91 145.57 49.23°
Sites, in units of the cell vectors:
1 Hf 0.000 0.000 0.000
2 Hf 0.310 0.810 0.500
3 Hf 0.690 0.190 0.500
4 Zr 0.500 0.500 0.000
5 Co 0.130 0.630 0.500
6 Co 0.870 0.370 0.500
7 H 0.500 0.000 0.500